Theoretical powder XRD pattern of CaPuTeO2 for CuKα, from the PBE geometry in Alexandria.
Peak positions follow from Bragg's law for the DFT cell and can differ from measured ones.

Crystal structure
```
data_CaPuTeO2
_cell_length_a 3.9500
_cell_length_b 3.9500
_cell_length_c 12.6986
_cell_angle_alpha 90.00
_cell_angle_beta 90.00
_cell_angle_gamma 90.00
_space_group_name_H-M_alt 'I 4 m m'
_space_group_IT_number 107
_space_group_name_Hall 'I 4 -2'
loop_
_atom_site_label
_atom_site_type_symbol
_atom_site_fract_x
_atom_site_fract_y
_atom_site_fract_z
Ca1 Ca 0.0000 0.0000 0.0000
Pu1 Pu 0.0000 0.0000 0.3250
Te1 Te 0.0000 0.0000 0.6645
O1 O 0.0000 0.5000 0.4019
```

Peak list (6 most intense, 2θ = 5–70°, in order of rising 2θ)
d (Å)  I/Imax  h k l
6.349  32  0 0 2
3.772  32  1 0 1
2.888  100  1 0 3
2.793  38  1 1 0
1.687  23  1 1 6
1.630  37  2 1 3